Record 1
Diffraction record for PrEr9Sc2. The PXRD pattern is simulated, not measured: it uses a cell relaxed with GGA-PBE and Cu Kα, 1.54184 Å.
Lines closer than 0.1° are merged.

Crystal structure
```
data_PrEr9Sc2
_cell_length_a 10.9908
_cell_length_b 10.9908
_cell_length_c 3.4584
_cell_angle_alpha 90.00
_cell_angle_beta 90.00
_cell_angle_gamma 120.00
_symmetry_space_group_name_H-M 'P 1'
_symmetry_Int_Tables_number 1
_symmetry_space_group_name_Hall 'P 1'
loop_
_atom_site_label
_atom_site_type_symbol
_atom_site_fract_x
_atom_site_fract_y
_atom_site_fract_z
Pr1 Pr 0.0000 0.0000 0.0000
Er1 Er 0.0000 0.5000 0.0000
Er2 Er 0.1812 0.3623 0.5000
Er3 Er 0.1812 0.8188 0.5000
Er4 Er 0.3623 0.1812 0.5000
Er5 Er 0.5000 0.0000 0.0000
Er6 Er 0.5000 0.5000 0.0000
Er7 Er 0.6377 0.8188 0.5000
Er8 Er 0.8188 0.1812 0.5000
Er9 Er 0.8188 0.6377 0.5000
Sc1 Sc 0.3333 0.6667 0.0000
Sc2 Sc 0.6667 0.3333 0.0000
```

The 8 most intense peaks (15° ≤ 2θ ≤ 90°), low angle first:
- 2θ = 24.75°, intensity 13.0
- 2θ = 31.99°, intensity 91.9
- 2θ = 32.59°, intensity 100.0
- 2θ = 36.02°, intensity 21.3
- 2θ = 46.31°, intensity 29.5
- 2θ = 57.77°, intensity 29.9
- 2θ = 58.15°, intensity 15.1
- 2θ = 63.57°, intensity 29.2

=====

Record 2
Diffraction record for Ga2Sn3. The PXRD pattern is simulated, not measured: it uses a cell relaxed with GGA-PBE and Cu Kα, 1.54184 Å.
Lines closer than 0.1° are merged.

Crystal structure
```
data_Ga2Sn3
_cell_length_a 6.7275
_cell_length_b 6.7275
_cell_length_c 6.7275
_cell_angle_alpha 68.75
_cell_angle_beta 68.75
_cell_angle_gamma 68.75
_symmetry_space_group_name_H-M 'P 1'
_symmetry_Int_Tables_number 1
_symmetry_space_group_name_Hall 'P 1'
loop_
_atom_site_label
_atom_site_type_symbol
_atom_site_fract_x
_atom_site_fract_y
_atom_site_fract_z
Ga1 Ga 0.0912 0.0912 0.0912
Ga2 Ga 0.4088 0.4088 0.4088
Ga3 Ga 0.5912 0.5912 0.5912
Ga4 Ga 0.9088 0.9088 0.9088
Sn1 Sn 0.0060 0.7500 0.4940
Sn2 Sn 0.2500 0.5060 0.9940
Sn3 Sn 0.4940 0.0060 0.7500
Sn4 Sn 0.5060 0.9940 0.2500
Sn5 Sn 0.7500 0.4940 0.0060
Sn6 Sn 0.9940 0.2500 0.5060
```

The 8 most intense peaks (15° ≤ 2θ ≤ 90°), low angle first:
- 2θ = 29.31°, intensity 100.0
- 2θ = 29.56°, intensity 25.5
- 2θ = 35.19°, intensity 41.8
- 2θ = 36.61°, intensity 48.0
- 2θ = 38.05°, intensity 23.7
- 2θ = 41.16°, intensity 27.9
- 2θ = 43.40°, intensity 24.0
- 2θ = 47.09°, intensity 23.9

=====

Record 3
Diffraction record for SrLi3Al. The PXRD pattern is simulated, not measured: it uses a cell relaxed with GGA-PBE and Cu Kα, 1.54184 Å.
Lines closer than 0.1° are merged.

Crystal structure
```
data_SrLi3Al
_cell_length_a 8.8647
_cell_length_b 8.8647
_cell_length_c 6.8830
_cell_angle_alpha 100.66
_cell_angle_beta 100.66
_cell_angle_gamma 75.32
_symmetry_space_group_name_H-M 'P 1'
_symmetry_Int_Tables_number 1
_symmetry_space_group_name_Hall 'P 1'
loop_
_atom_site_label
_atom_site_type_symbol
_atom_site_fract_x
_atom_site_fract_y
_atom_site_fract_z
Sr1 Sr 0.0613 0.9387 0.7500
Sr2 Sr 0.3562 0.6438 0.2500
Sr3 Sr 0.6438 0.3562 0.7500
Sr4 Sr 0.9387 0.0613 0.2500
Li1 Li 0.0195 0.3588 0.0820
Li2 Li 0.0244 0.3732 0.6069
Li3 Li 0.2935 0.2989 0.3946
Li4 Li 0.2989 0.2935 0.8946
Li5 Li 0.3588 0.0195 0.5820
Li6 Li 0.3732 0.0244 0.1069
Li7 Li 0.6268 0.9756 0.8931
Li8 Li 0.6412 0.9805 0.4180
Li9 Li 0.7011 0.7065 0.1054
Li10 Li 0.7065 0.7011 0.6054
Li11 Li 0.9756 0.6268 0.3931
Li12 Li 0.9805 0.6412 0.9180
Al1 Al 0.2465 0.5606 0.6972
Al2 Al 0.4394 0.7535 0.8028
Al3 Al 0.5606 0.2465 0.1972
Al4 Al 0.7535 0.4394 0.3028
```

The 8 most intense peaks (15° ≤ 2θ ≤ 90°), low angle first:
- 2θ = 21.11°, intensity 74.8
- 2θ = 23.14°, intensity 73.0
- 2θ = 25.52°, intensity 100.0
- 2θ = 26.46°, intensity 88.9
- 2θ = 26.64°, intensity 87.4
- 2θ = 26.79°, intensity 89.3
- 2θ = 31.22°, intensity 78.5
- 2θ = 36.06°, intensity 70.7